For ZnBi6P2O14F2, DFT lattice parameters and positions (GGA-PBE) gives the calculated powder diffraction line list in this record (a wavelength of 1.5418 Å).
Lines closer than 0.1° are merged.

The 8 most intense peaks (10° ≤ 2θ ≤ 90°), by angle:
2θ (°)	I/Imax
11.26	57
23.11	25
27.91	100
28.36	94
31.73	31
31.77	24
45.52	27
47.38	27

Crystal structure
Unit cell a=8.910 b=8.910 c=16.818 alpha=109.76 beta=109.76 gamma=36.90
Positions (direct):
1 Zn 0.000 0.000 0.000
2 Zn 0.000 0.000 0.500
3 Bi 0.104 0.121 0.827
4 Bi 0.121 0.104 0.327
5 Bi 0.171 0.228 0.164
6 Bi 0.228 0.171 0.664
7 Bi 0.425 0.456 0.828
8 Bi 0.456 0.425 0.328
9 Bi 0.544 0.575 0.672
10 Bi 0.575 0.544 0.172
11 Bi 0.772 0.829 0.336
12 Bi 0.829 0.772 0.836
13 Bi 0.879 0.896 0.673
14 Bi 0.896 0.879 0.173
15 P 0.344 0.360 0.996
16 P 0.360 0.344 0.496
17 P 0.640 0.656 0.504
18 P 0.656 0.640 0.004
19 O 0.051 0.829 0.890
20 O 0.075 0.593 0.246
21 O 0.091 0.572 0.743
22 O 0.171 0.949 0.610
23 O 0.178 0.391 0.916
24 O 0.181 0.608 0.479
25 O 0.222 0.601 0.056
26 O 0.224 0.776 0.250
27 O 0.278 0.722 0.750
28 O 0.391 0.178 0.416
29 O 0.392 0.819 0.021
30 O 0.399 0.778 0.444
31 O 0.407 0.925 0.254
32 O 0.428 0.909 0.757
33 O 0.572 0.091 0.243
34 O 0.593 0.075 0.746
35 O 0.601 0.222 0.556
36 O 0.608 0.181 0.979
37 O 0.609 0.822 0.584
38 O 0.722 0.278 0.250
39 O 0.776 0.224 0.750
40 O 0.778 0.399 0.944
41 O 0.819 0.392 0.521
42 O 0.822 0.609 0.084
43 O 0.829 0.051 0.390
44 O 0.909 0.428 0.257
45 O 0.925 0.407 0.754
46 O 0.949 0.171 0.110
47 F 0.215 0.381 0.554
48 F 0.381 0.215 0.054
49 F 0.619 0.785 0.946
50 F 0.785 0.619 0.446